# MnNbCoHSe
Computed powder XRD pattern, Cu Kα (weighted mean of Kα1 and Kα2). Input: a DFT-relaxed cell (PBE, Alexandria).

The 12 most intense peaks (2θ from 10° to 80°), by angle:
- hkl 0 1 1, 27.87 deg, intensity 32
- hkl 0 0 4, 30.94 deg, intensity 14
- hkl 1 0 2, 31.59 deg, intensity 16
- hkl 0 1 3, 35.63 deg, intensity 11
- hkl 1 1 1, 39.52 deg, intensity 100
- hkl 1 0 4, 41.84 deg, intensity 57
- hkl 1 1 3, 45.56 deg, intensity 23
- hkl 0 1 5, 47.89 deg, intensity 50
- hkl 0 2 0, 55.14 deg, intensity 18
- hkl 2 0 0, 56.67 deg, intensity 17
- hkl 1 2 4, 71.52 deg, intensity 26
- hkl 2 1 5, 77.29 deg, intensity 23

Structural model:
abc: 3.2485 3.3314 11.5598
angles: 90.00 90.00 90.00
Space group Amm2 (No. 38)
Inequivalent atoms, fractional coordinates:
Mn: 0.0000 0.0000 0.0000 [2 per cell]
Nb: 0.0000 0.0000 0.2312 [2 per cell]
Co: 0.5000 0.0000 0.6184 [2 per cell]
H: 0.5000 0.0000 0.7503 [2 per cell]
Se: 0.5000 0.0000 0.4177 [2 per cell]